LaSm2DyTm: theoretical PXRD pattern (CuKα), based on a cell relaxed with PBE.
Intensities are scaled so that the largest is 100.

Largest 10 diffraction maxima, in order of rising 2θ, 15° ≤ 2θ ≤ 90°:
two_theta  I/Imax
20.61  15
26.05  24
30.98  100
31.82  38
32.12  18
35.07  24
35.97  19
51.92  15
56.17  19
61.74  19

a = 3.652 Å, b = 5.624 Å, c = 8.620 Å
α = 90.00°, β = 90.00°, γ = 90.00°
Atoms (fractional coordinates):
1 La 0.000 0.000 0.000
2 Sm 0.000 0.500 0.322
3 Sm 0.000 0.500 0.678
4 Dy 0.500 0.500 0.000
5 Tm 0.500 0.000 0.500

La2Fe2Ni15: theoretical PXRD pattern (CuKα), based on a cell relaxed with PBE.
Intensities are scaled so that the largest is 100.

Largest 10 diffraction maxima, in order of rising 2θ, 15° ≤ 2θ ≤ 90°:
two_theta  I/Imax
30.49  31
37.03  36
38.37  26
43.02  61
43.34  100
44.27  47
48.69  29
63.43  26
78.85  16
80.86  16

a = 6.349 Å, b = 6.349 Å, c = 6.349 Å
α = 82.96°, β = 82.96°, γ = 82.96°
Atoms (fractional coordinates):
1 La 0.156 0.156 0.156
2 La 0.844 0.844 0.844
3 Fe 0.406 0.406 0.406
4 Fe 0.594 0.594 0.594
5 Ni 0.000 0.500 0.500
6 Ni 0.159 0.159 0.650
7 Ni 0.159 0.650 0.159
8 Ni 0.209 0.500 0.791
9 Ni 0.209 0.791 0.500
10 Ni 0.350 0.841 0.841
11 Ni 0.500 0.000 0.500
12 Ni 0.500 0.209 0.791
13 Ni 0.500 0.500 0.000
14 Ni 0.500 0.791 0.209
15 Ni 0.650 0.159 0.159
16 Ni 0.791 0.209 0.500
17 Ni 0.791 0.500 0.209
18 Ni 0.841 0.350 0.841
19 Ni 0.841 0.841 0.350

AcSm2Tl3S6: theoretical PXRD pattern (CuKα), based on a cell relaxed with PBE.
Intensities are scaled so that the largest is 100.

Largest 10 diffraction maxima, in order of rising 2θ, 15° ≤ 2θ ≤ 90°:
two_theta  I/Imax
23.79  28
25.58  67
29.11  100
40.50  38
42.75  36
47.50  16
49.50  26
52.55  19
66.76  16
69.97  16

a = 7.325 Å, b = 7.325 Å, c = 7.869 Å
α = 98.92°, β = 98.92°, γ = 119.93°
Atoms (fractional coordinates):
1 Ac 0.000 0.000 0.000
2 Sm 0.334 0.666 0.000
3 Sm 0.666 0.334 0.000
4 Tl 0.166 0.834 0.500
5 Tl 0.500 0.500 0.500
6 Tl 0.834 0.166 0.500
7 S 0.069 0.417 0.206
8 S 0.281 0.281 0.798
9 S 0.417 0.069 0.206
10 S 0.583 0.931 0.794
11 S 0.719 0.719 0.202
12 S 0.931 0.583 0.794